Entry 1:
The following is a calculated PXRD pattern of PrBi2O6. It was derived from a crystal structure in the Materials Project, relaxed with GGA-PBE, using Cu Kα X-rays.
No peak broadening, texture or thermal motion is included.

Structural model:
a = 8.374 Å, b = 6.126 Å, c = 5.795 Å
α = 90.00°, β = 90.00°, γ = 90.00°
Positions (direct):
Pr 0.000 0.175 0.000
Pr 0.500 0.825 0.500
Bi 0.249 0.735 0.982
Bi 0.251 0.265 0.482
Bi 0.749 0.265 0.482
Bi 0.751 0.735 0.982
O 0.000 0.269 0.602
O 0.000 0.790 0.895
O 0.188 0.436 0.162
O 0.203 0.982 0.249
O 0.297 0.018 0.749
O 0.312 0.564 0.662
O 0.500 0.210 0.395
O 0.500 0.731 0.102
O 0.688 0.564 0.662
O 0.703 0.018 0.749
O 0.797 0.982 0.249
O 0.812 0.436 0.162

Main lines, in order of falling intensity (2θ from 5° to 70°):
Position (°2θ)  d_spacing  I/Imax
30.10  2.969  100.0
21.10  4.210  43.3
30.86  2.897  23.6
54.41  1.686  23.2
29.15  3.063  22.7
42.97  2.105  21.9
21.22  4.187  19.0
18.62  4.765  14.5
52.28  1.750  14.5
48.40  1.881  14.4
43.21  2.094  13.3
62.58  1.484  12.9

***

Entry 2:
The following is a calculated PXRD pattern of PrBiO4. It was derived from a crystal structure in the Materials Project, relaxed with GGA-PBE, using Cu Kα X-rays.
No peak broadening, texture or thermal motion is included.

Structural model:
a = 5.685 Å, b = 10.983 Å, c = 5.756 Å
α = 90.00°, β = 90.00°, γ = 90.00°
Positions (direct):
Pr 0.193 0.250 0.250
Pr 0.307 0.750 0.250
Pr 0.693 0.250 0.750
Pr 0.807 0.750 0.750
Bi 0.250 0.000 0.702
Bi 0.250 0.500 0.798
Bi 0.750 0.000 0.298
Bi 0.750 0.500 0.202
O 0.018 0.617 0.050
O 0.018 0.883 0.450
O 0.121 0.630 0.571
O 0.121 0.870 0.929
O 0.379 0.130 0.929
O 0.379 0.370 0.571
O 0.482 0.117 0.450
O 0.482 0.383 0.050
O 0.518 0.617 0.950
O 0.518 0.883 0.550
O 0.621 0.630 0.429
O 0.621 0.870 0.071
O 0.879 0.130 0.071
O 0.879 0.370 0.429
O 0.982 0.117 0.550
O 0.982 0.383 0.950

Main lines, in order of falling intensity (2θ from 5° to 70°):
Position (°2θ)  d_spacing  I/Imax
27.39  3.257  100.0
45.66  1.987  17.6
55.06  1.668  17.2
45.95  1.975  13.7
32.60  2.746  12.8
31.47  2.843  12.5
31.08  2.878  11.5
44.82  2.022  11.4
53.58  1.710  10.5
53.07  1.726  10.4
56.51  1.628  8.5
17.40  5.098  5.5

***

Entry 3:
The following is a calculated PXRD pattern of PrBiO4. It was derived from a crystal structure in the Materials Project, relaxed with GGA-PBE, using Cu Kα X-rays.
No peak broadening, texture or thermal motion is included.

Structural model:
a = 8.018 Å, b = 5.725 Å, c = 8.041 Å
α = 90.00°, β = 98.26°, γ = 90.00°
Positions (direct):
Pr 0.139 0.230 0.393
Pr 0.139 0.270 0.893
Pr 0.861 0.730 0.107
Pr 0.861 0.770 0.607
Bi 0.339 0.730 0.190
Bi 0.339 0.770 0.690
Bi 0.661 0.230 0.310
Bi 0.661 0.270 0.810
O 0.114 0.512 0.169
O 0.114 0.988 0.669
O 0.162 0.501 0.624
O 0.162 0.999 0.124
O 0.327 0.612 0.935
O 0.327 0.888 0.435
O 0.424 0.102 0.810
O 0.424 0.398 0.310
O 0.576 0.602 0.690
O 0.576 0.898 0.190
O 0.673 0.112 0.565
O 0.673 0.388 0.065
O 0.838 0.001 0.876
O 0.838 0.499 0.376
O 0.886 0.012 0.331
O 0.886 0.488 0.831

Main lines, in order of falling intensity (2θ from 5° to 70°):
Position (°2θ)  d_spacing  I/Imax
27.33  3.263  100.0
31.25  2.862  17.2
46.95  1.935  16.3
56.09  1.640  14.4
53.26  1.720  14.3
22.38  3.973  14.0
57.06  1.614  13.4
28.29  3.155  13.0
34.13  2.627  10.6
33.41  2.682  9.3
45.38  1.999  8.2
43.45  2.083  7.9

***

Entry 4:
The following is a calculated PXRD pattern of Sr2PrBiO6. It was derived from a crystal structure in the Materials Project, relaxed with GGA-PBE, using Cu Kα X-rays.
No peak broadening, texture or thermal motion is included.

Structural model:
a = 6.029 Å, b = 6.205 Å, c = 10.512 Å
α = 90.00°, β = 124.57°, γ = 90.00°
Positions (direct):
Sr 0.236 0.048 0.249
Sr 0.236 0.452 0.749
Sr 0.764 0.548 0.251
Sr 0.764 0.952 0.751
Pr 0.500 0.000 0.000
Pr 0.500 0.500 0.500
Bi 0.000 0.000 0.500
Bi 0.000 0.500 0.000
O 0.126 0.213 0.943
O 0.126 0.287 0.443
O 0.232 0.690 0.945
O 0.232 0.810 0.445
O 0.340 0.043 0.736
O 0.340 0.457 0.236
O 0.660 0.543 0.764
O 0.660 0.957 0.264
O 0.768 0.190 0.555
O 0.768 0.310 0.055
O 0.874 0.713 0.557
O 0.874 0.787 0.057

Main lines, in order of falling intensity (2θ from 5° to 70°):
Position (°2θ)  d_spacing  I/Imax
29.12  3.067  100.0
29.27  3.051  99.2
41.77  2.163  72.4
20.53  4.325  57.4
28.77  3.103  47.8
29.63  3.015  46.3
51.25  1.783  36.4
52.18  1.753  34.0
52.46  1.744  24.4
51.49  1.775  22.8
68.72  1.366  17.1
68.48  1.370  16.8

***

Entry 5:
The following is a calculated PXRD pattern of Sr2PrBiO6. It was derived from a crystal structure in the Materials Project, relaxed with GGA-PBE, using Cu Kα X-rays.
No peak broadening, texture or thermal motion is included.

Structural model:
a = 8.716 Å, b = 8.716 Å, c = 8.716 Å
α = 90.00°, β = 90.00°, γ = 90.00°
Positions (direct):
Sr 0.250 0.250 0.250
Sr 0.250 0.250 0.750
Sr 0.250 0.750 0.250
Sr 0.250 0.750 0.750
Sr 0.750 0.250 0.250
Sr 0.750 0.250 0.750
Sr 0.750 0.750 0.250
Sr 0.750 0.750 0.750
Pr 0.000 0.000 0.000
Pr 0.000 0.500 0.500
Pr 0.500 0.000 0.500
Pr 0.500 0.500 0.000
Bi 0.000 0.000 0.500
Bi 0.000 0.500 0.000
Bi 0.500 0.000 0.000
Bi 0.500 0.500 0.500
O 0.039 0.551 0.762
O 0.039 0.949 0.738
O 0.051 0.238 0.539
O 0.051 0.262 0.961
O 0.238 0.539 0.051
O 0.238 0.961 0.449
O 0.262 0.539 0.449
O 0.262 0.961 0.051
O 0.449 0.238 0.961
O 0.449 0.262 0.539
O 0.461 0.551 0.738
O 0.461 0.949 0.762
O 0.539 0.051 0.238
O 0.539 0.449 0.262
O 0.551 0.738 0.461
O 0.551 0.762 0.039
O 0.738 0.039 0.949
O 0.738 0.461 0.551
O 0.762 0.039 0.551
O 0.762 0.461 0.949
O 0.949 0.738 0.039
O 0.949 0.762 0.461
O 0.961 0.051 0.262
O 0.961 0.449 0.238

Main lines, in order of falling intensity (2θ from 5° to 70°):
Position (°2θ)  d_spacing  I/Imax
28.98  3.081  100.0
51.36  1.779  46.9
41.44  2.179  26.8
68.03  1.378  19.0
20.38  4.358  18.4
60.05  1.541  16.2
46.60  1.949  8.8
17.63  5.032  4.3
64.11  1.453  3.7
34.12  2.628  2.0
35.69  2.516  1.7
63.11  1.473  1.0

***

Entry 6:
The following is a calculated PXRD pattern of Sr2PrBiO6. It was derived from a crystal structure in the Materials Project, relaxed with GGA-PBE, using Cu Kα X-rays.
No peak broadening, texture or thermal motion is included.

Structural model:
a = 6.228 Å, b = 6.228 Å, c = 6.228 Å
α = 60.00°, β = 60.00°, γ = 60.00°
Positions (direct):
Sr 0.250 0.250 0.250
Sr 0.750 0.750 0.750
Pr 0.000 0.000 0.000
Bi 0.500 0.500 0.500
O 0.261 0.261 0.739
O 0.261 0.739 0.261
O 0.261 0.739 0.739
O 0.739 0.261 0.261
O 0.739 0.261 0.739
O 0.739 0.739 0.261

Main lines, in order of falling intensity (2θ from 5° to 70°):
Position (°2θ)  d_spacing  I/Imax
28.67  3.114  100.0
50.78  1.798  42.3
40.99  2.202  30.6
20.16  4.404  20.7
59.35  1.557  19.6
67.22  1.393  18.9
46.09  1.970  9.5
63.36  1.468  4.5
17.44  5.085  4.2
33.75  2.656  2.1
54.10  1.695  1.1
62.37  1.489  1.0

***

Entry 7:
The following is a calculated PXRD pattern of SrPrZnBiO6. It was derived from a crystal structure in the Materials Project, relaxed with GGA-PBE, using Cu Kα X-rays.
No peak broadening, texture or thermal motion is included.

Structural model:
a = 5.824 Å, b = 5.824 Å, c = 5.824 Å
α = 60.00°, β = 60.00°, γ = 60.00°
Positions (direct):
Sr 0.000 0.000 0.000
Pr 0.500 0.500 0.500
Zn 0.250 0.250 0.250
Bi 0.750 0.750 0.750
O 0.004 0.004 0.496
O 0.004 0.496 0.004
O 0.004 0.496 0.496
O 0.496 0.004 0.004
O 0.496 0.004 0.496
O 0.496 0.496 0.004

Main lines, in order of falling intensity (2θ from 5° to 70°):
Position (°2θ)  d_spacing  I/Imax
30.70  2.912  100.0
54.58  1.681  40.8
43.97  2.059  30.1
18.66  4.755  19.4
63.94  1.456  18.8
36.17  2.483  12.3
48.16  1.890  5.9
67.25  1.392  4.4
58.20  1.585  4.3
21.58  4.118  3.6
49.49  1.842  1.5
68.33  1.373  0.7

***

Entry 8:
The following is a calculated PXRD pattern of PrTi6Bi7O24. It was derived from a crystal structure in the Materials Project, relaxed with GGA-PBE, using Cu Kα X-rays.
No peak broadening, texture or thermal motion is included.

Structural model:
a = 5.437 Å, b = 5.477 Å, c = 16.978 Å
α = 90.00°, β = 81.15°, γ = 89.59°
Positions (direct):
Pr 0.000 0.000 0.000
Ti 0.050 0.506 0.870
Ti 0.291 0.005 0.385
Ti 0.436 0.007 0.126
Ti 0.557 0.006 0.871
Ti 0.791 0.507 0.386
Ti 0.934 0.506 0.127
Bi 0.118 0.981 0.705
Bi 0.192 0.481 0.551
Bi 0.328 0.510 0.261
Bi 0.475 0.497 0.992
Bi 0.618 0.532 0.705
Bi 0.693 0.032 0.551
Bi 0.830 0.002 0.260
O 0.018 0.793 0.374
O 0.034 0.435 0.013
O 0.091 0.283 0.351
O 0.120 0.566 0.766
O 0.211 0.271 0.150
O 0.215 0.764 0.105
O 0.261 0.065 0.489
O 0.274 0.231 0.881
O 0.304 0.742 0.907
O 0.415 0.261 0.630
O 0.416 0.761 0.626
O 0.417 0.936 0.243
O 0.496 0.079 0.012
O 0.518 0.720 0.374
O 0.592 0.231 0.352
O 0.621 0.947 0.766
O 0.716 0.243 0.143
O 0.723 0.762 0.106
O 0.760 0.449 0.490
O 0.769 0.288 0.884
O 0.808 0.776 0.906
O 0.914 0.580 0.243
O 0.915 0.253 0.630
O 0.916 0.753 0.626

Main lines, in order of falling intensity (2θ from 5° to 70°):
Position (°2θ)  d_spacing  I/Imax
29.74  3.004  100.0
29.58  3.020  51.6
29.85  2.993  48.2
32.95  2.718  37.4
32.70  2.738  35.5
50.62  1.803  32.4
15.85  5.592  26.6
56.64  1.625  24.5
46.93  1.936  24.3
37.53  2.396  22.2
23.12  3.847  20.3
47.29  1.922  20.3

***

Entry 9:
The following is a calculated PXRD pattern of BiPtO14. It was derived from a crystal structure in the Materials Project, relaxed with GGA-PBE, using Cu Kα X-rays.
No peak broadening, texture or thermal motion is included.

Structural model:
a = 8.165 Å, b = 8.165 Å, c = 8.165 Å
α = 60.00°, β = 60.00°, γ = 60.00°
Positions (direct):
Bi 0.125 0.125 0.125
Bi 0.875 0.875 0.875
Pt 0.375 0.375 0.375
Pt 0.625 0.625 0.625
O 0.000 0.500 0.500
O 0.175 0.175 0.371
O 0.175 0.175 0.779
O 0.175 0.371 0.175
O 0.175 0.371 0.779
O 0.175 0.779 0.175
O 0.175 0.779 0.371
O 0.221 0.629 0.825
O 0.221 0.825 0.629
O 0.221 0.825 0.825
O 0.371 0.175 0.175
O 0.371 0.175 0.779
O 0.371 0.779 0.175
O 0.500 0.000 0.500
O 0.500 0.500 0.000
O 0.500 0.500 0.500
O 0.629 0.221 0.825
O 0.629 0.825 0.221
O 0.629 0.825 0.825
O 0.779 0.175 0.175
O 0.779 0.175 0.371
O 0.779 0.371 0.175
O 0.825 0.221 0.629
O 0.825 0.221 0.825
O 0.825 0.629 0.221
O 0.825 0.629 0.825
O 0.825 0.825 0.221
O 0.825 0.825 0.629

Main lines, in order of falling intensity (2θ from 5° to 70°):
Position (°2θ)  d_spacing  I/Imax
21.77  4.083  100.0
38.18  2.357  64.2
49.95  1.826  30.4
59.95  1.543  25.9
44.38  2.041  22.6
69.01  1.361  15.0
30.98  2.887  11.2
55.10  1.667  6.9
64.57  1.443  3.5
26.74  3.333  1.9
40.60  2.222  1.3
56.95  1.617  0.6

***

Entry 10:
The following is a calculated PXRD pattern of Rb8BiO3. It was derived from a crystal structure in the Materials Project, relaxed with GGA-PBE, using Cu Kα X-rays.
No peak broadening, texture or thermal motion is included.

Structural model:
a = 7.457 Å, b = 7.457 Å, c = 7.457 Å
α = 90.00°, β = 90.00°, γ = 90.00°
Positions (direct):
Rb 0.231 0.231 0.231
Rb 0.231 0.231 0.769
Rb 0.231 0.769 0.231
Rb 0.231 0.769 0.769
Rb 0.769 0.231 0.231
Rb 0.769 0.231 0.769
Rb 0.769 0.769 0.231
Rb 0.769 0.769 0.769
Bi 0.500 0.500 0.500
O 0.000 0.000 0.500
O 0.000 0.500 0.000
O 0.500 0.000 0.000

Main lines, in order of falling intensity (2θ from 5° to 70°):
Position (°2θ)  d_spacing  I/Imax
34.00  2.637  100.0
26.73  3.335  32.6
60.85  1.522  30.1
23.86  3.729  26.4
16.81  5.273  25.5
20.63  4.306  18.7
48.85  1.864  16.0
50.46  1.809  15.4
36.13  2.486  12.3
29.34  3.044  11.3
67.66  1.385  10.9
45.51  1.993  10.6